1.
Theoretical powder diffraction line list of MgZn for Cu Kα, 1.54184 Å, from a crystal structure in the Materials Project, relaxed with GGA-PBE.

Top 8 peaks for 5° ≤ 2θ ≤ 70°, in order of rising 2θ:
| 2theta | d [Å] | I (rel.) |
| --- | --- | --- |
| 13.55 | 6.536 | 464 |
| 16.38 | 5.412 | 264 |
| 34.76 | 2.581 | 289 |
| 35.39 | 2.537 | 191 |
| 37.62 | 2.391 | 479 |
| 39.05 | 2.306 | 1000 |
| 40.30 | 2.238 | 600 |
| 41.45 | 2.179 | 262 |

Structural model:
abc: 11.163 2.997 6.740
angles: 90.00 104.15 90.00
Fractional coordinates of all 12 atoms:
1 Mg 0.000 0.000 0.000
2 Mg 0.046 0.000 0.570
3 Mg 0.318 0.000 0.643
4 Mg 0.500 0.500 0.000
5 Mg 0.546 0.500 0.570
6 Mg 0.818 0.500 0.643
7 Zn 0.167 0.500 0.306
8 Zn 0.216 0.500 0.932
9 Zn 0.370 0.000 0.247
10 Zn 0.667 0.000 0.306
11 Zn 0.716 0.000 0.932
12 Zn 0.870 0.500 0.247

2.
Theoretical powder diffraction line list of Ho3Ga8Ag3 for Cu Kα, 1.54184 Å, from a crystal structure in the Materials Project, relaxed with GGA-PBE.

Top 8 peaks for 5° ≤ 2θ ≤ 70°, in order of rising 2θ:
| 2theta | d [Å] | I (rel.) |
| --- | --- | --- |
| 33.63 | 2.665 | 145 |
| 34.84 | 2.575 | 1000 |
| 35.14 | 2.553 | 171 |
| 35.94 | 2.499 | 195 |
| 37.68 | 2.387 | 310 |
| 41.30 | 2.186 | 317 |
| 42.19 | 2.142 | 151 |
| 67.90 | 1.380 | 152 |

Structural model:
abc: 8.296 8.296 8.296
angles: 149.45 109.81 78.46
Fractional coordinates of all 14 atoms:
1 Ho 0.000 0.000 0.000
2 Ho 0.296 0.296 0.000
3 Ho 0.704 0.704 0.000
4 Ga 0.027 0.657 0.369
5 Ga 0.138 0.858 0.281
6 Ga 0.288 0.657 0.631
7 Ga 0.423 0.142 0.281
8 Ga 0.577 0.858 0.719
9 Ga 0.712 0.343 0.369
10 Ga 0.862 0.142 0.719
11 Ga 0.973 0.343 0.631
12 Ag 0.311 0.500 0.811
13 Ag 0.500 0.000 0.500
14 Ag 0.689 0.500 0.189

3.
Theoretical powder diffraction line list of ZrGeN2 for Cu Kα, 1.54184 Å, from a crystal structure in the Materials Project, relaxed with GGA-PBE.

Top 8 peaks for 5° ≤ 2θ ≤ 70°, in order of rising 2θ:
| 2theta | d [Å] | I (rel.) |
| --- | --- | --- |
| 32.00 | 2.797 | 622 |
| 32.15 | 2.784 | 1000 |
| 45.88 | 1.978 | 293 |
| 46.33 | 1.960 | 97 |
| 57.13 | 1.612 | 389 |
| 57.41 | 1.605 | 259 |
| 66.90 | 1.399 | 88 |
| 67.25 | 1.392 | 123 |

Structural model:
abc: 3.956 3.956 7.839
angles: 90.00 90.00 90.00
Fractional coordinates of all 8 atoms:
1 Zr 0.250 0.250 0.111
2 Zr 0.750 0.750 0.889
3 Ge 0.250 0.250 0.612
4 Ge 0.750 0.750 0.388
5 N 0.250 0.250 0.379
6 N 0.250 0.750 0.000
7 N 0.750 0.250 0.000
8 N 0.750 0.750 0.621

4.
Theoretical powder diffraction line list of Sm3Th5F27 for Cu Kα, 1.54184 Å, from a crystal structure in the Materials Project, relaxed with GGA-PBE.

Top 8 peaks for 5° ≤ 2θ ≤ 70°, in order of rising 2θ:
| 2theta | d [Å] | I (rel.) |
| --- | --- | --- |
| 23.65 | 3.761 | 473 |
| 24.23 | 3.674 | 434 |
| 24.75 | 3.598 | 1000 |
| 26.65 | 3.345 | 364 |
| 29.97 | 2.982 | 609 |
| 44.07 | 2.055 | 289 |
| 44.55 | 2.034 | 319 |
| 46.20 | 1.965 | 307 |

Structural model:
abc: 7.342 4.127 17.253
angles: 90.00 91.52 90.00
Fractional coordinates of all 35 atoms:
1 Sm 0.000 0.000 0.000
2 Sm 0.027 0.000 0.491
3 Sm 0.844 0.000 0.239
4 Th 0.357 0.500 0.647
5 Th 0.372 0.500 0.148
6 Th 0.555 0.500 0.904
7 Th 0.563 0.500 0.401
8 Th 0.868 0.000 0.735
9 F 0.016 0.500 0.709
10 F 0.089 0.500 0.082
11 F 0.102 0.500 0.562
12 F 0.140 0.000 0.205
13 F 0.197 0.000 0.702
14 F 0.262 0.500 0.924
15 F 0.268 0.500 0.430
16 F 0.287 0.000 0.045
17 F 0.298 0.000 0.561
18 F 0.387 0.500 0.281
19 F 0.405 0.500 0.778
20 F 0.530 0.500 0.038
21 F 0.535 0.500 0.542
22 F 0.547 0.000 0.674
23 F 0.581 0.000 0.830
24 F 0.590 0.000 0.323
25 F 0.631 0.000 0.461
26 F 0.655 0.000 0.964
27 F 0.675 0.500 0.181
28 F 0.776 0.500 0.804
29 F 0.815 0.500 0.306
30 F 0.845 0.000 0.108
31 F 0.861 0.500 0.459
32 F 0.869 0.500 0.961
33 F 0.870 0.000 0.602
34 F 0.983 0.000 0.861
35 F 0.994 0.000 0.363

5.
Theoretical powder diffraction line list of KCeMg14O16 for Cu Kα, 1.54184 Å, from a crystal structure in the Materials Project, relaxed with GGA-PBE.

Top 8 peaks for 5° ≤ 2θ ≤ 70°, in order of rising 2θ:
| 2theta | d [Å] | I (rel.) |
| --- | --- | --- |
| 10.08 | 8.772 | 448 |
| 34.98 | 2.565 | 691 |
| 40.23 | 2.242 | 1000 |
| 40.43 | 2.231 | 959 |
| 41.16 | 2.193 | 886 |
| 58.36 | 1.581 | 570 |
| 58.92 | 1.568 | 540 |
| 59.07 | 1.564 | 521 |

Structural model:
abc: 4.483 8.772 8.923
angles: 90.00 90.00 90.00
Fractional coordinates of all 32 atoms:
1 K 0.000 0.000 0.000
2 Ce 0.000 0.000 0.500
3 Mg 0.000 0.262 0.239
4 Mg 0.000 0.262 0.761
5 Mg 0.000 0.500 0.000
6 Mg 0.000 0.500 0.500
7 Mg 0.000 0.738 0.239
8 Mg 0.000 0.738 0.761
9 Mg 0.500 0.000 0.231
10 Mg 0.500 0.000 0.769
11 Mg 0.500 0.255 0.000
12 Mg 0.500 0.266 0.500
13 Mg 0.500 0.500 0.246
14 Mg 0.500 0.500 0.754
15 Mg 0.500 0.734 0.500
16 Mg 0.500 0.745 0.000
17 O 0.000 0.000 0.258
18 O 0.000 0.000 0.742
19 O 0.000 0.268 0.500
20 O 0.000 0.277 0.000
21 O 0.000 0.500 0.253
22 O 0.000 0.500 0.747
23 O 0.000 0.723 0.000
24 O 0.000 0.732 0.500
25 O 0.500 0.000 0.000
26 O 0.500 0.000 0.500
27 O 0.500 0.250 0.251
28 O 0.500 0.250 0.749
29 O 0.500 0.500 0.000
30 O 0.500 0.500 0.500
31 O 0.500 0.750 0.251
32 O 0.500 0.750 0.749

6.
Theoretical powder diffraction line list of MgSi2 for Cu Kα, 1.54184 Å, from a crystal structure in the Materials Project, relaxed with GGA-PBE.

Top 8 peaks for 5° ≤ 2θ ≤ 70°, in order of rising 2θ:
| 2theta | d [Å] | I (rel.) |
| --- | --- | --- |
| 29.35 | 3.043 | 343 |
| 29.58 | 3.020 | 389 |
| 35.25 | 2.546 | 478 |
| 35.48 | 2.530 | 1000 |
| 38.08 | 2.363 | 341 |
| 43.14 | 2.097 | 451 |
| 45.47 | 1.995 | 606 |
| 47.94 | 1.897 | 558 |

Structural model:
abc: 6.057 3.795 10.431
angles: 90.00 102.54 90.00
Fractional coordinates of all 12 atoms:
1 Mg 0.000 0.000 0.000
2 Mg 0.014 0.500 0.514
3 Mg 0.429 0.000 0.672
4 Mg 0.743 0.500 0.218
5 Si 0.074 0.500 0.811
6 Si 0.194 0.500 0.253
7 Si 0.392 0.000 0.199
8 Si 0.440 0.500 0.473
9 Si 0.477 0.500 0.872
10 Si 0.551 0.000 0.008
11 Si 0.666 0.000 0.433
12 Si 0.895 0.000 0.698